V2F9: calculated PXRD pattern (Cu Kα (weighted mean of Kα1 and Kα2)), based on a structure optimized by DFT (GGA+U).
Intensities are scaled so that the largest is 1000.

The 6 most intense peaks (2θ = 10–90°), in order of rising 2θ:
d (Å)  two_theta  intensity
7.370  12.01  153
4.496  19.74  1000
3.838  23.17  142
2.850  31.39  190
2.295  39.25  327
1.784  51.20  173

Atomic structure:
abc: 5.1920 5.1920 14.7397
angles: 90.00 90.00 120.00
Space group P6_3/mcm (No. 193)
One atom of each set of equivalent atoms:
V  0.0000  0.0000  0.1511
F  0.0000  0.2648  0.2500
F  0.0000  0.2992  0.5965